The following is a simulated PXRD pattern of PmPr8Nd3. It was derived from a DFT-relaxed cell (GGA-PBE, Alexandria), using Cu Ka.
Lines closer than 0.1° are merged.

Main lines, sorted by position (2θ from 10° to 80°):
d 3.783, 23.52°, I 61, hkl 2 1 1
d 3.554, 25.05°, I 55, hkl 2 0 2
d 3.159, 28.25°, I 80, hkl 2 2 0
d 2.933, 30.48°, I 74, hkl 0 0 4
d 2.546, 35.26°, I 100, hkl 3 1 2
d 2.149, 42.04°, I 55, hkl 2 2 4

Crystal structure
abc: 8.9350 8.9350 11.7325
angles: 90.00 90.00 90.00
Space group I-42m (No. 121)
Symmetry-distinct sites (fractional):
Pm: 0.0000 0.0000 0.0000
Pr: 0.1234 0.1234 0.7506
Pr: 0.2493 0.2493 0.0017
Nd: 0.0000 0.0000 0.5000
Nd: 0.0000 0.5000 0.2500